[1]
Starting from a DFT-relaxed cell (GGA-PBE, Alexandria), the powder diffractogram of Al3Pt2 was calculated for copper Kα.
Intensities are scaled so that the largest is 100.

Cell and atoms:
a = 4.2346 Å, b = 4.2346 Å, c = 5.2367 Å
α = 90.00°, β = 90.00°, γ = 120.00°
Fractional coordinates of all 5 atoms:
Al (0.0000, 0.0000, 0.0000)
Al (0.3333, 0.6667, 0.3530)
Al (0.6667, 0.3333, 0.6470)
Pt (0.3333, 0.6667, 0.8321)
Pt (0.6667, 0.3333, 0.1679)

Largest 10 diffraction maxima, by angle, 2θ = 10–80°:
2θ = 16.93°, intensity 32.9
2θ = 24.27°, intensity 46.6
2θ = 29.74°, intensity 100.0
2θ = 42.42°, intensity 74.6
2θ = 42.70°, intensity 62.4
2θ = 46.25°, intensity 15.6
2θ = 52.91°, intensity 20.9
2θ = 61.76°, intensity 24.8
2θ = 70.25°, intensity 18.1
2θ = 78.00°, intensity 25.5


[2]
Starting from a DFT-relaxed cell (GGA-PBE, Alexandria), the powder diffractogram of KPrZrNbO6 was calculated for copper Kα.
Intensities are scaled so that the largest is 100.

Cell and atoms:
a = 5.8332 Å, b = 5.8332 Å, c = 5.8332 Å
α = 60.00°, β = 60.00°, γ = 60.00°
Fractional coordinates of all 10 atoms:
K (0.0000, 0.0000, 0.0000)
Pr (0.5000, 0.5000, 0.5000)
Zr (0.7500, 0.7500, 0.7500)
Nb (0.2500, 0.2500, 0.2500)
O (0.0044, 0.0044, 0.4956)
O (0.0044, 0.4956, 0.0044)
O (0.0044, 0.4956, 0.4956)
O (0.4956, 0.0044, 0.0044)
O (0.4956, 0.0044, 0.4956)
O (0.4956, 0.4956, 0.0044)

Largest 10 diffraction maxima, by angle, 2θ = 10–80°:
2θ = 18.63°, intensity 19.4
2θ = 30.65°, intensity 100.0
2θ = 36.11°, intensity 11.6
2θ = 43.90°, intensity 34.5
2θ = 48.08°, intensity 5.4
2θ = 54.49°, intensity 39.1
2θ = 58.10°, intensity 4.2
2θ = 63.83°, intensity 20.6
2θ = 67.13°, intensity 4.1
2θ = 72.46°, intensity 16.7


[3]
Starting from a DFT-relaxed cell (GGA-PBE, Alexandria), the powder diffractogram of Rb2Bi2Pb3 was calculated for copper Kα.
Intensities are scaled so that the largest is 100.

Cell and atoms:
a = 7.2126 Å, b = 7.2126 Å, c = 8.5627 Å
α = 112.12°, β = 112.12°, γ = 42.78°
Fractional coordinates of all 7 atoms:
Rb (0.1480, 0.1480, 0.2851)
Rb (0.8520, 0.8520, 0.7149)
Bi (0.1503, 0.1503, 0.7489)
Bi (0.8497, 0.8497, 0.2511)
Pb (0.3942, 0.3942, 0.0717)
Pb (0.5000, 0.5000, 0.5000)
Pb (0.6058, 0.6058, 0.9283)

Largest 10 diffraction maxima, by angle, 2θ = 10–80°:
2θ = 14.28°, intensity 72.4
2θ = 26.26°, intensity 34.3
2θ = 26.92°, intensity 48.3
2θ = 27.61°, intensity 44.7
2θ = 29.70°, intensity 53.1
2θ = 31.63°, intensity 100.0
2θ = 34.08°, intensity 53.3
2θ = 36.42°, intensity 28.3
2θ = 37.75°, intensity 34.6
2θ = 47.22°, intensity 28.1


[4]
Starting from a DFT-relaxed cell (GGA-PBE, Alexandria), the powder diffractogram of NpAg3I2Cl6 was calculated for copper Kα.
Intensities are scaled so that the largest is 100.

Cell and atoms:
a = 8.6591 Å, b = 8.6591 Å, c = 6.4500 Å
α = 101.08°, β = 101.08°, γ = 55.87°
Fractional coordinates of all 12 atoms:
Np (0.0000, 0.0000, 0.0000)
Ag (0.0000, 0.5000, 0.0000)
Ag (0.5000, 0.0000, 0.0000)
Ag (0.5000, 0.5000, 0.5000)
I (0.3249, 0.3249, 0.2740)
I (0.6751, 0.6751, 0.7260)
Cl (0.1222, 0.1222, 0.7836)
Cl (0.1415, 0.6929, 0.7624)
Cl (0.3071, 0.8585, 0.2376)
Cl (0.6929, 0.1415, 0.7624)
Cl (0.8585, 0.3071, 0.2376)
Cl (0.8778, 0.8778, 0.2164)

Largest 10 diffraction maxima, by angle, 2θ = 10–80°:
2θ = 14.07°, intensity 30.2
2θ = 17.80°, intensity 100.0
2θ = 20.94°, intensity 21.8
2θ = 24.96°, intensity 53.3
2θ = 30.07°, intensity 51.5
2θ = 32.99°, intensity 18.7
2θ = 36.08°, intensity 50.5
2θ = 40.14°, intensity 23.9
2θ = 42.62°, intensity 30.2
2θ = 43.16°, intensity 16.5


[5]
Starting from a DFT-relaxed cell (GGA-PBE, Alexandria), the powder diffractogram of Na2B2SbPd5 was calculated for copper Kα.
Intensities are scaled so that the largest is 100.

Cell and atoms:
a = 9.9836 Å, b = 9.9836 Å, c = 3.0933 Å
α = 90.00°, β = 90.00°, γ = 90.00°
Fractional coordinates of all 20 atoms:
Na (0.1786, 0.3214, 0.0000)
Na (0.3214, 0.8214, 0.0000)
Na (0.6786, 0.1786, 0.0000)
Na (0.8214, 0.6786, 0.0000)
B (0.1180, 0.6180, 0.0000)
B (0.3820, 0.1180, 0.0000)
B (0.6180, 0.8820, 0.0000)
B (0.8820, 0.3820, 0.0000)
Sb (0.0000, 0.0000, 0.0000)
Sb (0.5000, 0.5000, 0.0000)
Pd (0.0000, 0.5000, 0.5000)
Pd (0.0688, 0.7687, 0.5000)
Pd (0.2313, 0.0688, 0.5000)
Pd (0.2687, 0.5688, 0.5000)
Pd (0.4312, 0.2687, 0.5000)
Pd (0.5000, 0.0000, 0.5000)
Pd (0.5688, 0.7313, 0.5000)
Pd (0.7313, 0.4312, 0.5000)
Pd (0.7687, 0.9312, 0.5000)
Pd (0.9312, 0.2313, 0.5000)

Largest 10 diffraction maxima, by angle, 2θ = 10–80°:
2θ = 17.77°, intensity 35.3
2θ = 19.89°, intensity 47.9
2θ = 28.86°, intensity 40.3
2θ = 35.30°, intensity 41.4
2θ = 35.98°, intensity 46.2
2θ = 37.13°, intensity 57.8
2θ = 38.71°, intensity 53.7
2θ = 40.40°, intensity 79.1
2θ = 40.84°, intensity 100.0
2θ = 43.88°, intensity 40.1


[6]
Starting from a DFT-relaxed cell (GGA-PBE, Alexandria), the powder diffractogram of HoBi2RuO8 was calculated for copper Kα.
Intensities are scaled so that the largest is 100.

Cell and atoms:
a = 5.0807 Å, b = 6.7561 Å, c = 5.1153 Å
α = 90.00°, β = 90.66°, γ = 90.00°
Fractional coordinates of all 12 atoms:
Ho (0.0000, 0.0000, 0.0000)
Bi (0.5000, 0.2531, 0.5000)
Bi (0.5000, 0.7469, 0.5000)
Ru (0.0000, 0.5000, 0.0000)
O (0.1680, 0.2767, 0.1970)
O (0.1680, 0.7233, 0.1970)
O (0.2788, 0.5000, 0.7684)
O (0.3217, 0.0000, 0.7006)
O (0.6783, 0.0000, 0.2994)
O (0.7212, 0.5000, 0.2316)
O (0.8320, 0.2767, 0.8030)
O (0.8320, 0.7233, 0.8030)

Largest 10 diffraction maxima, by angle, 2θ = 10–80°:
2θ = 24.55°, intensity 55.5
2θ = 24.84°, intensity 56.1
2θ = 31.78°, intensity 100.0
2θ = 35.09°, intensity 15.2
2θ = 35.33°, intensity 16.3
2θ = 47.92°, intensity 19.2
2θ = 48.06°, intensity 18.1
2θ = 48.25°, intensity 21.2
2θ = 48.39°, intensity 19.1
2θ = 61.23°, intensity 11.3


[7]
Starting from a DFT-relaxed cell (GGA-PBE, Alexandria), the powder diffractogram of La4PrTm4 was calculated for copper Kα.
Intensities are scaled so that the largest is 100.

Cell and atoms:
a = 8.1030 Å, b = 8.1030 Å, c = 8.1030 Å
α = 95.77°, β = 95.77°, γ = 143.04°
Fractional coordinates of all 9 atoms:
La (0.0000, 0.3311, 0.3311)
La (0.0000, 0.6689, 0.6689)
La (0.3311, 0.0000, 0.3311)
La (0.6689, 0.0000, 0.6689)
Pr (0.0000, 0.0000, 0.0000)
Tm (0.3347, 0.3347, 0.6693)
Tm (0.3347, 0.6653, 0.0000)
Tm (0.6653, 0.3347, 0.0000)
Tm (0.6653, 0.6653, 0.3307)

Largest 10 diffraction maxima, by angle, 2θ = 10–80°:
2θ = 11.51°, intensity 0.5
2θ = 19.11°, intensity 0.5
2θ = 30.19°, intensity 100.0
2θ = 35.00°, intensity 50.7
2θ = 50.33°, intensity 36.2
2θ = 59.74°, intensity 14.5
2θ = 59.86°, intensity 28.7
2θ = 62.77°, intensity 12.4
2θ = 73.79°, intensity 1.9
2θ = 74.01°, intensity 3.8


[8]
Starting from a DFT-relaxed cell (GGA-PBE, Alexandria), the powder diffractogram of Pr3Sm8 was calculated for copper Kα.
Intensities are scaled so that the largest is 100.

Cell and atoms:
a = 32.8375 Å, b = 32.8375 Å, c = 32.8375 Å
α = 6.37°, β = 6.37°, γ = 6.37°
Fractional coordinates of all 11 atoms:
Pr (0.0000, 0.0000, 0.0000)
Pr (0.2723, 0.2723, 0.2723)
Pr (0.7277, 0.7277, 0.7277)
Sm (0.0916, 0.0916, 0.0916)
Sm (0.1817, 0.1817, 0.1817)
Sm (0.3639, 0.3639, 0.3639)
Sm (0.4549, 0.4549, 0.4549)
Sm (0.5451, 0.5451, 0.5451)
Sm (0.6361, 0.6361, 0.6361)
Sm (0.8183, 0.8183, 0.8183)
Sm (0.9084, 0.9084, 0.9084)

Largest 6 diffraction maxima, by angle, 2θ = 10–80°:
2θ = 29.98°, intensity 100.0
2θ = 34.76°, intensity 50.7
2θ = 49.97°, intensity 36.2
2θ = 59.38°, intensity 43.0
2θ = 62.30°, intensity 12.4
2θ = 73.36°, intensity 5.7


[9]
Starting from a DFT-relaxed cell (GGA-PBE, Alexandria), the powder diffractogram of Pr2ErZn2 was calculated for copper Kα.
Intensities are scaled so that the largest is 100.

Cell and atoms:
a = 10.3587 Å, b = 10.3587 Å, c = 3.5624 Å
α = 90.00°, β = 90.00°, γ = 159.59°
Fractional coordinates of all 5 atoms:
Pr (0.1735, 0.8265, 0.0000)
Pr (0.8265, 0.1735, 0.0000)
Er (0.0000, 0.0000, 0.0000)
Zn (0.4207, 0.5793, 0.5000)
Zn (0.5793, 0.4207, 0.5000)

Largest 10 diffraction maxima, by angle, 2θ = 10–80°:
2θ = 25.00°, intensity 32.1
2θ = 26.22°, intensity 27.0
2θ = 32.82°, intensity 75.8
2θ = 35.38°, intensity 100.0
2θ = 36.54°, intensity 86.7
2θ = 39.49°, intensity 27.3
2θ = 41.70°, intensity 20.9
2θ = 61.82°, intensity 27.7
2θ = 62.25°, intensity 24.7
2θ = 63.21°, intensity 34.4


[10]
Starting from a DFT-relaxed cell (GGA-PBE, Alexandria), the powder diffractogram of Sr3Sn8Pt3 was calculated for copper Kα.
Intensities are scaled so that the largest is 100.

Cell and atoms:
a = 8.8983 Å, b = 8.8983 Å, c = 10.0133 Å
α = 123.23°, β = 123.23°, γ = 33.40°
Fractional coordinates of all 14 atoms:
Sr (0.0000, 0.0000, 0.0000)
Sr (0.2885, 0.2885, 0.2985)
Sr (0.7115, 0.7115, 0.7015)
Sn (0.1386, 0.1386, 0.8465)
Sn (0.1497, 0.1497, 0.4353)
Sn (0.3467, 0.3467, 0.9540)
Sn (0.4983, 0.4983, 0.3309)
Sn (0.5017, 0.5017, 0.6691)
Sn (0.6533, 0.6533, 0.0460)
Sn (0.8503, 0.8503, 0.5647)
Sn (0.8614, 0.8614, 0.1535)
Pt (0.0000, 0.0000, 0.5000)
Pt (0.3478, 0.3478, 0.6844)
Pt (0.6522, 0.6522, 0.3156)

Largest 10 diffraction maxima, by angle, 2θ = 10–80°:
2θ = 10.77°, intensity 37.2
2θ = 31.32°, intensity 54.9
2θ = 31.74°, intensity 46.4
2θ = 32.03°, intensity 31.9
2θ = 34.37°, intensity 51.5
2θ = 35.10°, intensity 100.0
2θ = 38.64°, intensity 43.2
2θ = 40.76°, intensity 56.1
2θ = 41.69°, intensity 35.3
2θ = 53.18°, intensity 35.7


[11]
Starting from a DFT-relaxed cell (GGA-PBE, Alexandria), the powder diffractogram of Pm2Si4Os5 was calculated for copper Kα.
Intensities are scaled so that the largest is 100.

Cell and atoms:
a = 8.2282 Å, b = 7.1197 Å, c = 5.8478 Å
α = 78.09°, β = 57.85°, γ = 44.06°
Fractional coordinates of all 11 atoms:
Pm (0.1288, 0.1288, 0.8712)
Pm (0.8712, 0.8712, 0.1288)
Si (0.2161, 0.5138, 0.4862)
Si (0.4862, 0.7839, 0.2161)
Si (0.5138, 0.2161, 0.7839)
Si (0.7839, 0.4862, 0.5138)
Os (0.0000, 0.0000, 0.5000)
Os (0.2500, 0.2500, 0.2500)
Os (0.5000, 0.5000, 0.0000)
Os (0.5000, 0.5000, 0.5000)
Os (0.7500, 0.7500, 0.7500)

Largest 10 diffraction maxima, by angle, 2θ = 10–80°:
2θ = 27.09°, intensity 23.9
2θ = 27.49°, intensity 12.8
2θ = 32.79°, intensity 39.9
2θ = 35.42°, intensity 100.0
2θ = 37.11°, intensity 21.2
2θ = 41.52°, intensity 29.0
2θ = 45.42°, intensity 35.1
2θ = 55.73°, intensity 15.6
2θ = 63.65°, intensity 15.5
2θ = 68.70°, intensity 29.7


[12]
Starting from a DFT-relaxed cell (GGA-PBE, Alexandria), the powder diffractogram of Tb9HoTm2 was calculated for copper Kα.
Intensities are scaled so that the largest is 100.

Cell and atoms:
a = 5.0052 Å, b = 5.0052 Å, c = 15.0106 Å
α = 90.00°, β = 90.00°, γ = 90.00°
Fractional coordinates of all 12 atoms:
Tb (0.0000, 0.0000, 0.0000)
Tb (0.0000, 0.0000, 0.3338)
Tb (0.0000, 0.0000, 0.6662)
Tb (0.0000, 0.5000, 0.1673)
Tb (0.0000, 0.5000, 0.5000)
Tb (0.0000, 0.5000, 0.8327)
Tb (0.5000, 0.0000, 0.1673)
Tb (0.5000, 0.0000, 0.5000)
Tb (0.5000, 0.0000, 0.8327)
Ho (0.5000, 0.5000, 0.0000)
Tm (0.5000, 0.5000, 0.3336)
Tm (0.5000, 0.5000, 0.6664)

Largest 6 diffraction maxima, by angle, 2θ = 10–80°:
2θ = 30.95°, intensity 100.0
2θ = 35.89°, intensity 50.6
2θ = 51.66°, intensity 36.0
2θ = 61.45°, intensity 42.7
2θ = 64.50°, intensity 12.3
2θ = 76.07°, intensity 5.7